Diffraction record for La3GaSi2. The X-ray diffraction stick pattern is calculated, not measured: it uses a structure optimized by DFT (PBE) and Cu Kα X-rays.
Kinematic intensities with the Lorentz-polarization factor, no thermal factor.

Cell and atoms:
```
24
Lattice="12.2087 0.0000 0.0000 0.0000 4.2671 0.0000 0.0000 0.0000 12.2487" Properties=species:S:1:pos:R:3 pbc="T T T"
La 0.7513 1.0668 1.4317
La 1.4776 3.2003 6.8675
La 2.4037 1.0668 9.7197
La 3.7006 3.2003 3.5954
La 4.6268 1.0668 0.7432
La 5.3531 3.2003 7.5561
La 6.8556 1.0668 4.6926
La 7.5820 3.2003 11.5055
La 8.5081 1.0668 8.6533
La 9.8050 3.2003 2.5289
La 10.7311 1.0668 5.3812
La 11.4575 3.2003 10.8169
Ga 1.6404 1.0668 4.4811
Ga 4.4640 3.2003 10.6055
Ga 7.7447 1.0668 1.6432
Ga 10.5684 3.2003 7.7675
Si 0.3780 3.2003 3.8564
Si 2.3543 3.2003 12.0718
Si 3.7501 1.0668 5.9474
Si 5.7264 1.0668 9.9808
Si 6.4823 3.2003 2.2679
Si 8.4586 3.2003 6.3013
Si 9.8544 1.0668 0.1769
Si 11.8307 1.0668 8.3922
```

Most intense lines, 10° ≤ 2θ ≤ 90°, most intense first:
2θ/deg	I/Imax	index
30.30	100	0 1 3
30.13	68	1 0 4
33.77	62	3 1 2
29.41	47	2 1 2
42.36	39	0 2 0
31.23	38	3 1 1
26.50	36	2 1 1
26.29	34	3 0 2